Entry 1:
# Zn3Co2C12N12
Calculated PXRD pattern, Cu Kα X-rays. Input: a structure optimized by DFT (GGA-PBE).
Lines closer than 0.1° are merged.

Most intense lines, 2θ from 10° to 90°, sorted by position:
2θ (°)	intensity	h k l
13.61	30	1 0 4
14.13	10	1 1 0
16.34	100	1 1 3
19.66	23	0 2 4
21.68	37	1 1 6
21.83	11	2 1 1
24.59	16	3 0 0
28.51	12	1 1 9
33.02	11	2 2 6
38.00	8	2 2 9
40.84	8	1 3 10
41.62	8	3 0 12

```
data_Zn3Co2C12N12
_space_group_name_H-M_alt 'R -3 c'
_space_group_IT_number 167
_space_group_name_Hall '-R 3 2"c'
_cell_length_a 12.5390
_cell_length_b 12.5390
_cell_length_c 32.5126
_cell_angle_alpha 90.00
_cell_angle_beta 90.00
_cell_angle_gamma 120.00
loop_
_atom_site_label
_atom_site_type_symbol
_atom_site_fract_x
_atom_site_fract_y
_atom_site_fract_z
_atom_site_occupancy
Zn1 Zn 0.0000 0.2899 0.2500 1
Co1 Co 0.0000 0.0000 0.1465 1
C1 C 0.0147 0.1270 0.1805 1
C2 C 0.0155 0.1309 0.8854 1
N1 N 0.0224 0.2034 0.2029 1
N2 N 0.0256 0.2160 0.9034 1
```



Entry 2:
# TiCoP
Calculated PXRD pattern, Cu Kα X-rays. Input: a structure optimized by DFT (GGA-PBE).
Lines closer than 0.1° are merged.

Most intense lines, 2θ from 10° to 90°, sorted by position:
2θ (°)	intensity	h k l
19.61	23	1 0 1
39.18	53	2 1 0
39.52	100	1 1 2
41.43	81	2 1 1
42.36	31	1 0 3
47.06	37	3 0 1
47.38	50	0 1 3
49.87	23	1 1 3
51.51	46	0 2 0
52.77	19	3 0 2
72.33	18	3 2 1
78.12	23	3 1 4

```
data_TiCoP
_space_group_name_H-M_alt 'P n m a'
_space_group_IT_number 62
_cell_length_a 6.038
_cell_length_b 3.548
_cell_length_c 6.842
_cell_angle_alpha 90.00
_cell_angle_beta 90.00
_cell_angle_gamma 90.00
loop_
_space_group_symop_operation_xyz
'x,y,z'
'-x,-y,-z'
'-x+1/2,-y,z+1/2'
'x+1/2,y,-z+1/2'
'x+1/2,-y+1/2,-z+1/2'
'-x+1/2,y+1/2,z+1/2'
'-x,y+1/2,-z'
'x,-y+1/2,z'
loop_
_atom_site_label
_atom_site_type_symbol
_atom_site_fract_x
_atom_site_fract_y
_atom_site_fract_z
_atom_site_occupancy
Ti1 Ti 0.024 0.250 0.178 1
Co1 Co 0.140 0.250 0.562 1
P1 P 0.232 0.750 0.378 1
```



Entry 3:
# Si5P6O25
Calculated PXRD pattern, Cu Kα X-rays. Input: a structure optimized by DFT (GGA-PBE).
Lines closer than 0.1° are merged.

Most intense lines, 2θ from 10° to 90°, sorted by position:
2θ (°)	intensity	h k l
10.91	53	0 0 3
13.32	34	1 0 1
14.74	16	0 1 2
21.92	24	0 0 6
22.32	34	0 1 5
24.87	100	1 1 3
26.05	9	0 2 1
31.46	17	1 1 6
31.76	27	2 0 5
37.47	9	3 -1 4
45.27	12	0 3 6
60.88	9	3 0 12

```
data_Si5P6O25
_space_group_name_H-M_alt 'R -3'
_space_group_IT_number 148
_space_group_name_Hall '-R 3'
_cell_length_a 7.9801
_cell_length_b 7.9801
_cell_length_c 24.3280
_cell_angle_alpha 90.00
_cell_angle_beta 90.00
_cell_angle_gamma 120.00
loop_
_atom_site_label
_atom_site_type_symbol
_atom_site_fract_x
_atom_site_fract_y
_atom_site_fract_z
_atom_site_occupancy
Si1 Si 0.0000 0.0000 0.0000 1
Si2 Si 0.0000 0.0000 0.1808 1
Si3 Si 0.0000 0.0000 0.4340 1
P1 P 0.0181 0.7332 0.9076 1
O1 O 0.0000 0.0000 0.5000 1
O2 O 0.0136 0.1975 0.4097 1
O3 O 0.0637 0.8553 0.9593 1
O4 O 0.0747 0.2040 0.7770 1
O5 O 0.0788 0.2116 0.1383 1
```



Entry 4:
# BaEuSnBiO6
Calculated PXRD pattern, Cu Kα X-rays. Input: a structure optimized by DFT (GGA-PBE).
Lines closer than 0.1° are merged.

Most intense lines, 2θ from 10° to 90°, sorted by position:
2θ (°)	intensity	h k l
17.89	4	1 1 1
20.69	2	2 0 0
29.42	100	2 2 0
34.64	3	3 1 1
42.09	29	4 0 0
46.07	2	3 3 1
47.34	1	4 2 0
52.18	42	4 2 2
61.03	18	4 4 0
69.19	19	6 2 0
76.91	6	4 4 4
84.41	23	6 4 2

```
data_BaEuSnBiO6
_space_group_name_H-M_alt 'F -4 3 m'
_space_group_IT_number 216
_space_group_name_Hall 'F -4 2 3'
_cell_length_a 8.588
_cell_length_b 8.588
_cell_length_c 8.588
_cell_angle_alpha 90.00
_cell_angle_beta 90.00
_cell_angle_gamma 90.00
loop_
_atom_site_label
_atom_site_type_symbol
_atom_site_fract_x
_atom_site_fract_y
_atom_site_fract_z
_atom_site_occupancy
Ba1 Ba 0.000 0.000 0.000 1
Eu1 Eu 0.000 0.000 0.500 1
Sn1 Sn 0.250 0.250 0.750 1
Bi1 Bi 0.250 0.250 0.250 1
O1 O 0.009 0.250 0.750 1
```



Entry 5:
# NbCr2
Calculated PXRD pattern, Cu Kα X-rays. Input: a structure optimized by DFT (GGA-PBE).
Lines closer than 0.1° are merged.

Most intense lines, 2θ from 10° to 90°, sorted by position:
2θ (°)	intensity	h k l
35.38	31	2 1 3
39.29	37	3 1 2
40.33	45	2 0 4
41.49	100	3 2 1
42.16	56	3 0 3
43.47	35	1 0 5
45.27	27	4 0 0
46.51	24	2 2 4
68.23	15	5 2 3
70.76	20	5 3 2
72.63	19	3 3 6
73.66	14	5 0 5

```
data_NbCr2
_space_group_name_H-M_alt 'I -4 m 2'
_space_group_IT_number 119
_space_group_name_Hall 'I -4 -2'
_cell_length_a 8.012
_cell_length_b 8.012
_cell_length_c 10.780
_cell_angle_alpha 90.00
_cell_angle_beta 90.00
_cell_angle_gamma 90.00
loop_
_atom_site_label
_atom_site_type_symbol
_atom_site_fract_x
_atom_site_fract_y
_atom_site_fract_z
_atom_site_occupancy
Nb1 Nb 0.000 0.000 0.159 1
Nb2 Nb 0.000 0.500 0.560 1
Nb3 Nb 0.197 0.303 0.750 1
Cr1 Cr 0.000 0.159 0.585 1
Cr2 Cr 0.000 0.249 0.372 1
Cr3 Cr 0.000 0.337 0.160 1
Cr4 Cr 0.206 0.206 0.000 1
```



Entry 6:
# Ba2TmReO6
Calculated PXRD pattern, Cu Kα X-rays. Input: a structure optimized by DFT (GGA-PBE).
Lines closer than 0.1° are merged.

Most intense lines, 2θ from 10° to 90°, sorted by position:
2θ (°)	intensity	h k l
21.12	5	2 0 0
30.05	100	2 2 0
43.01	28	4 0 0
48.39	2	4 2 0
53.36	41	4 2 2
62.46	18	4 4 0
66.72	1	6 0 0
70.85	18	6 2 0
78.83	6	4 4 4
86.60	22	6 4 2

```
data_Ba2TmReO6
_space_group_name_H-M_alt 'F m -3 m'
_space_group_IT_number 225
_space_group_name_Hall '-F 4 2 3'
_cell_length_a 8.412
_cell_length_b 8.412
_cell_length_c 8.412
_cell_angle_alpha 90.00
_cell_angle_beta 90.00
_cell_angle_gamma 90.00
loop_
_atom_site_label
_atom_site_type_symbol
_atom_site_fract_x
_atom_site_fract_y
_atom_site_fract_z
_atom_site_occupancy
Ba1 Ba 0.250 0.250 0.250 1
Tm1 Tm 0.000 0.000 0.000 1
Re1 Re 0.000 0.000 0.500 1
O1 O 0.000 0.000 0.263 1
```



Entry 7:
# Ho2Sc3Si4
Calculated PXRD pattern, Cu Kα X-rays. Input: a structure optimized by DFT (GGA-PBE).
Lines closer than 0.1° are merged.

Most intense lines, 2θ from 10° to 90°, sorted by position:
2θ (°)	intensity	h k l
13.57	40	0 1 1
22.55	52	0 3 1
25.13	24	2 0 0
28.00	28	1 1 2
28.66	33	2 1 1
33.45	90	1 3 2
34.02	100	2 3 1
35.36	28	0 4 2
38.62	21	0 6 0
38.75	33	1 0 3
40.07	26	3 0 1
53.77	23	3 0 3

```
data_Ho2Sc3Si4
_space_group_name_H-M_alt 'P n m a'
_space_group_IT_number 62
_cell_length_a 7.087
_cell_length_b 13.990
_cell_length_c 7.380
_cell_angle_alpha 90.00
_cell_angle_beta 90.00
_cell_angle_gamma 90.00
loop_
_space_group_symop_operation_xyz
'x,y,z'
'-x,-y,-z'
'-x+1/2,-y,z+1/2'
'x+1/2,y,-z+1/2'
'x+1/2,-y+1/2,-z+1/2'
'-x+1/2,y+1/2,z+1/2'
'-x,y+1/2,-z'
'x,-y+1/2,z'
loop_
_atom_site_label
_atom_site_type_symbol
_atom_site_fract_x
_atom_site_fract_y
_atom_site_fract_z
_atom_site_occupancy
Ho1 Ho 0.012 0.097 0.175 1
Sc1 Sc 0.161 0.750 0.503 1
Sc2 Sc 0.170 0.125 0.677 1
Si1 Si 0.033 0.750 0.118 1
Si2 Si 0.158 0.539 0.465 1
Si3 Si 0.215 0.250 0.374 1
```